The following is a calculated powder diffraction line list of KPm2SbO5. It was derived from a GGA-PBE-relaxed structure, using copper Kα.
Intensities are scaled so that the largest is 100.

Peak list (10 most intense, 10° ≤ 2θ ≤ 90°, in order of rising 2θ)
hkl	2θ (°)	I/Imax
0 0 2	14.08	31
1 1 0	18.31	31
0 0 4	28.37	42
2 0 2	29.68	100
2 1 1	30.01	50
2 1 3	36.30	60
2 2 0	37.10	22
3 1 2	44.20	30
2 1 5	46.70	31
2 0 6	51.05	21

```
data_KPm2SbO5
_chemical_formula_sum 'K4 Pm8 Sb4 O20'
_cell_length_a 6.854
_cell_length_b 6.854
_cell_length_c 12.584
_cell_angle_alpha 90.00
_cell_angle_beta 90.00
_cell_angle_gamma 90.00
_space_group_name_H-M_alt 'I 4/m c m'
_space_group_IT_number 140
_space_group_name_Hall '-I 4 2c'
loop_
_atom_site_label
_atom_site_type_symbol
_atom_site_fract_x
_atom_site_fract_y
_atom_site_fract_z
K1 K 0.000 0.000 0.250
Pm1 Pm 0.179 0.321 0.000
Sb1 Sb 0.000 0.500 0.250
O1 O 0.000 0.000 0.000
O2 O 0.142 0.358 0.380
```

=====

The following is a calculated powder diffraction line list of KPmSeO4. It was derived from a GGA-PBE-relaxed structure, using copper Kα.
Intensities are scaled so that the largest is 100.

Peak list (10 most intense, 10° ≤ 2θ ≤ 90°, in order of rising 2θ)
hkl	2θ (°)	I/Imax
0 1 1	15.40	59
0 0 2	18.37	24
0 2 0	24.87	38
1 1 2	25.63	26
1 2 1	29.51	32
2 1 1	29.88	100
0 1 3	30.44	63
2 2 0	35.87	22
2 3 1	47.03	37
2 2 4	52.67	52

```
data_KPmSeO4
_chemical_formula_sum 'K4 Pm4 Se4 O16'
_cell_length_a 7.003
_cell_length_b 7.160
_cell_length_c 9.658
_cell_angle_alpha 90.00
_cell_angle_beta 90.00
_cell_angle_gamma 90.00
_space_group_name_H-M_alt 'I m m a'
_space_group_IT_number 74
_space_group_name_Hall '-I 2b 2'
loop_
_atom_site_label
_atom_site_type_symbol
_atom_site_fract_x
_atom_site_fract_y
_atom_site_fract_z
K1 K 0.000 0.000 0.000
Pm1 Pm 0.250 0.250 0.250
Se1 Se 0.000 0.250 0.626
O1 O 0.000 0.038 0.263
O2 O 0.195 0.250 0.516
```